1.
For SrNdMgRuO6, a PBE-relaxed structure gives the theoretical powder diffraction line list in this record (a wavelength of 1.5418 Å).
No peak broadening, texture or thermal motion is included.

Top 10 peaks for 15° ≤ 2θ ≤ 90°, in order of rising 2θ:
two_theta, I (rel.)
19.3, 22
19.4, 23
31.5, 30
31.8, 67
32.0, 100
45.6, 36
45.9, 21
56.4, 18
56.9, 23
57.1, 23

```
20
Lattice="5.5890 0.0000 0.0000 0.0000 5.6748 0.0000 -5.5494 0.0000 7.9092" Properties=species:S:1:pos:R:3 pbc="T T T"
Sr 0.0000 1.2408 0.0000
Sr -2.7747 4.4340 3.9546
Nd 0.1228 1.7161 3.9503
Nd -2.6519 3.9587 7.9049
Mg -2.7350 1.3789 5.9238
Mg 0.0397 4.2959 1.9692
Ru 2.8291 1.4051 1.9825
Ru 0.0544 4.2697 5.9371
O -2.2341 1.3350 3.9051
O -5.0089 4.3398 7.8597
O 2.4579 1.5626 0.0544
O -0.3168 4.1122 4.0090
O 1.2237 0.2901 2.3384
O -1.5511 5.3847 6.2929
O -1.1543 2.7143 6.2560
O 1.6204 2.9605 2.3014
O 1.1429 0.2195 5.5747
O 3.9176 5.4553 1.6201
O 4.3491 2.6483 1.6835
O 1.5743 3.0265 5.6381
```

=====

2.
For Nd2MgTi2S2O5, a PBE-relaxed structure gives the theoretical powder diffraction line list in this record (a wavelength of 1.5418 Å).
No peak broadening, texture or thermal motion is included.

Top 10 peaks for 15° ≤ 2θ ≤ 90°, in order of rising 2θ:
two_theta, I (rel.)
24.9, 69
28.0, 24
32.2, 100
32.8, 43
35.2, 29
42.5, 33
47.0, 33
53.9, 17
58.1, 36
65.2, 18

```
12
Lattice="-1.9334 1.9334 14.0042 1.9334 -1.9334 14.0042 1.9334 1.9334 -14.0042" Properties=species:S:1:pos:R:3 pbc="T T T"
Nd 0.0000 0.0000 3.8268
Nd 0.0000 0.0000 24.1815
Mg 1.9334 0.0000 7.0021
Ti 0.0000 0.0000 12.1863
Ti 0.0000 0.0000 15.8220
S 0.0000 0.0000 8.5915
S 0.0000 0.0000 19.4168
O 1.9334 0.0000 2.5101
O 1.9334 0.0000 11.4941
O 0.0000 0.0000 14.0042
O 0.0000 1.9334 2.4935
O 0.0000 1.9334 11.5106
```